This entry pairs a crystal structure of LiTe2Cl8 with its simulated powder XRD pattern. Radiation: λ = 1.5418 Å (Cu Kα). Structure: the PBE geometry in Alexandria.
Peak positions follow from Bragg's law for the DFT cell and can differ from measured ones.

Most intense lines, 5 to 70 degrees two-theta, by intensity:
2θ (°)	d/Å	I (rel.)
20.15	4.406	100.0
21.57	4.119	64.1
24.96	3.567	49.8
37.00	2.430	49.7
43.96	2.060	40.6
12.41	7.135	38.9

Cell and atoms:
abc: 8.238 8.238 5.602
angles: 90.00 90.00 120.00
Positions (direct):
Li1 0.000 0.000 0.000
Te1 0.333 0.667 0.234
Te2 0.667 0.333 0.766
Cl1 0.159 0.319 0.252
Cl2 0.160 0.841 0.252
Cl3 0.319 0.160 0.748
Cl4 0.333 0.667 0.756
Cl5 0.667 0.333 0.244
Cl6 0.681 0.840 0.252
Cl7 0.840 0.159 0.748
Cl8 0.841 0.681 0.748


This entry pairs a crystal structure of Cs3Bi7Se12 with its simulated powder XRD pattern. Radiation: λ = 1.5418 Å (Cu Kα). Structure: the PBE geometry in Alexandria.
Peak positions follow from Bragg's law for the DFT cell and can differ from measured ones.

Most intense lines, 5 to 70 degrees two-theta, by intensity:
2θ (°)	d/Å	I (rel.)
29.09	3.070	100.0
8.00	11.046	63.9
29.90	2.988	49.8
42.71	2.117	37.3
20.70	4.292	31.5
41.70	2.166	29.9

Cell and atoms:
abc: 14.029 14.029 13.505
angles: 107.47 107.47 17.49
Positions (direct):
Cs1 0.000 0.000 0.000
Cs2 0.274 0.274 0.752
Cs3 0.617 0.617 0.321
Bi1 0.140 0.140 0.889
Bi2 0.322 0.322 0.404
Bi3 0.362 0.362 0.099
Bi4 0.555 0.555 0.627
Bi5 0.728 0.728 0.144
Bi6 0.918 0.918 0.663
Bi7 0.961 0.961 0.363
Se1 0.034 0.034 0.758
Se2 0.066 0.066 0.478
Se3 0.218 0.218 0.294
Se4 0.247 0.247 0.011
Se5 0.409 0.409 0.793
Se6 0.441 0.441 0.503
Se7 0.471 0.471 0.217
Se8 0.621 0.621 0.032
Se9 0.659 0.659 0.752
Se10 0.812 0.812 0.547
Se11 0.843 0.843 0.262
Se12 0.867 0.867 0.967


This entry pairs a crystal structure of Ac2Nd3Tl4 with its simulated powder XRD pattern. Radiation: λ = 1.5418 Å (Cu Kα). Structure: the PBE geometry in Alexandria.
Peak positions follow from Bragg's law for the DFT cell and can differ from measured ones.

Most intense lines, 5 to 70 degrees two-theta, by intensity:
2θ (°)	d/Å	I (rel.)
29.46	3.032	100.0
29.15	3.063	75.3
33.82	2.651	56.6
32.50	2.755	47.0
27.82	3.207	39.0
29.76	3.002	29.5

Cell and atoms:
abc: 8.752 8.812 8.339
angles: 90.00 107.56 90.00
Positions (direct):
Ac1 0.187 0.182 0.064
Ac2 0.187 0.318 0.564
Ac3 0.813 0.682 0.436
Ac4 0.813 0.818 0.936
Nd1 0.242 0.665 0.251
Nd2 0.242 0.835 0.751
Nd3 0.500 0.000 0.500
Nd4 0.500 0.500 0.000
Nd5 0.758 0.165 0.249
Nd6 0.758 0.335 0.749
Tl1 0.084 0.539 0.856
Tl2 0.084 0.961 0.356
Tl3 0.497 0.129 0.870
Tl4 0.497 0.371 0.370
Tl5 0.503 0.629 0.630
Tl6 0.503 0.871 0.130
Tl7 0.916 0.039 0.644
Tl8 0.916 0.461 0.144


This entry pairs a crystal structure of Ba4Ga5Pd with its simulated powder XRD pattern. Radiation: λ = 1.5418 Å (Cu Kα). Structure: the PBE geometry in Alexandria.
Peak positions follow from Bragg's law for the DFT cell and can differ from measured ones.

Most intense lines, 5 to 70 degrees two-theta, by intensity:
2θ (°)	d/Å	I (rel.)
9.97	8.874	100.0
28.35	3.148	79.6
28.54	3.127	74.2
40.69	2.217	63.4
34.07	2.632	48.7
27.01	3.301	45.8

Cell and atoms:
abc: 8.964 8.964 4.484
angles: 98.13 98.13 89.21
Positions (direct):
Ba1 0.000 0.000 0.000
Ba2 0.474 0.999 0.268
Ba3 0.518 0.518 0.569
Ba4 0.999 0.474 0.268
Ga1 0.226 0.794 0.547
Ga2 0.262 0.656 0.008
Ga3 0.315 0.315 0.984
Ga4 0.656 0.262 0.008
Ga5 0.794 0.226 0.547
Pd1 0.222 0.222 0.442


This entry pairs a crystal structure of CeFeGe4 with its simulated powder XRD pattern. Radiation: λ = 1.5418 Å (Cu Kα). Structure: the PBE geometry in Alexandria.
Peak positions follow from Bragg's law for the DFT cell and can differ from measured ones.

Most intense lines, 5 to 70 degrees two-theta, by intensity:
2θ (°)	d/Å	I (rel.)
35.25	2.546	100.0
41.33	2.185	89.0
35.38	2.537	83.8
36.58	2.456	54.1
45.76	1.983	45.6
28.23	3.161	32.9

Cell and atoms:
abc: 7.440 3.965 7.369
angles: 90.00 90.00 90.00
Positions (direct):
Ce1 0.250 0.000 0.163
Ce2 0.750 0.000 0.837
Fe1 0.250 0.000 0.713
Fe2 0.750 0.000 0.287
Ge1 0.000 0.000 0.500
Ge2 0.077 0.500 0.841
Ge3 0.250 0.500 0.477
Ge4 0.423 0.500 0.841
Ge5 0.500 0.000 0.500
Ge6 0.577 0.500 0.159
Ge7 0.750 0.500 0.523
Ge8 0.923 0.500 0.159


This entry pairs a crystal structure of BePbAu3 with its simulated powder XRD pattern. Radiation: λ = 1.5418 Å (Cu Kα). Structure: the PBE geometry in Alexandria.
Peak positions follow from Bragg's law for the DFT cell and can differ from measured ones.

Most intense lines, 5 to 70 degrees two-theta, by intensity:
2θ (°)	d/Å	I (rel.)
36.29	2.476	100.0
34.23	2.620	26.6
31.86	2.809	22.8
62.64	1.483	20.9
67.98	1.379	20.0
56.76	1.622	17.5

Cell and atoms:
abc: 6.487 6.487 5.239
angles: 90.00 90.00 120.00
Positions (direct):
Be1 0.000 0.000 0.000
Be2 0.000 0.000 0.500
Pb1 0.333 0.667 0.250
Pb2 0.667 0.333 0.750
Au1 0.180 0.359 0.750
Au2 0.180 0.820 0.750
Au3 0.359 0.180 0.250
Au4 0.641 0.820 0.750
Au5 0.820 0.180 0.250
Au6 0.820 0.641 0.250


This entry pairs a crystal structure of Mg2B2PdO6 with its simulated powder XRD pattern. Radiation: λ = 1.5418 Å (Cu Kα). Structure: the PBE geometry in Alexandria.
Peak positions follow from Bragg's law for the DFT cell and can differ from measured ones.

Most intense lines, 5 to 70 degrees two-theta, by intensity:
2θ (°)	d/Å	I (rel.)
25.61	3.478	100.0
37.68	2.387	57.1
15.58	5.687	36.3
38.86	2.318	30.2
44.18	2.050	28.0
35.37	2.538	28.0

Cell and atoms:
abc: 5.076 5.076 5.687
angles: 90.00 90.00 120.00
Positions (direct):
Mg1 0.333 0.667 0.320
Mg2 0.667 0.333 0.680
B1 0.333 0.667 0.774
B2 0.667 0.333 0.226
Pd1 0.000 0.000 0.000
O1 0.064 0.673 0.760
O2 0.327 0.392 0.760
O3 0.392 0.064 0.240
O4 0.608 0.936 0.760
O5 0.673 0.608 0.240
O6 0.936 0.327 0.240


This entry pairs a crystal structure of Pr4CI2Br with its simulated powder XRD pattern. Radiation: λ = 1.5418 Å (Cu Kα). Structure: the PBE geometry in Alexandria.
Peak positions follow from Bragg's law for the DFT cell and can differ from measured ones.

Most intense lines, 5 to 70 degrees two-theta, by intensity:
2θ (°)	d/Å	I (rel.)
29.15	3.064	100.0
28.31	3.152	39.2
31.92	2.804	33.9
41.75	2.163	23.7
34.73	2.583	22.8
45.09	2.011	18.7

Cell and atoms:
abc: 7.705 4.021 8.072
angles: 90.00 106.27 90.00
Positions (direct):
Pr1 0.186 0.000 0.180
Pr2 0.207 0.500 0.812
Pr3 0.793 0.500 0.188
Pr4 0.814 0.000 0.820
C1 0.000 0.500 0.000
I1 0.000 0.000 0.500
I2 0.500 0.500 0.500
Br1 0.500 0.000 0.000


This entry pairs a crystal structure of ZrTl8Se6 with its simulated powder XRD pattern. Radiation: λ = 1.5418 Å (Cu Kα). Structure: the PBE geometry in Alexandria.
Peak positions follow from Bragg's law for the DFT cell and can differ from measured ones.

Most intense lines, 5 to 70 degrees two-theta, by intensity:
2θ (°)	d/Å	I (rel.)
27.22	3.276	100.0
26.65	3.345	42.8
32.20	2.780	37.8
33.18	2.700	34.5
31.90	2.805	32.7
26.25	3.395	32.1

Cell and atoms:
abc: 8.906 11.518 10.658
angles: 90.00 90.00 90.00
Positions (direct):
Zr1 0.000 0.155 0.000
Zr2 0.500 0.845 0.500
Tl1 0.000 0.687 0.158
Tl2 0.000 0.875 0.425
Tl3 0.216 0.091 0.693
Tl4 0.232 0.288 0.376
Tl5 0.242 0.423 0.020
Tl6 0.258 0.577 0.520
Tl7 0.268 0.712 0.876
Tl8 0.284 0.909 0.193
Tl9 0.500 0.125 0.925
Tl10 0.500 0.313 0.658
Tl11 0.716 0.909 0.193
Tl12 0.732 0.712 0.876
Tl13 0.742 0.577 0.520
Tl14 0.758 0.423 0.020
Tl15 0.768 0.288 0.376
Tl16 0.784 0.091 0.693
Se1 0.000 0.123 0.479
Se2 0.000 0.320 0.842
Se3 0.000 0.451 0.233
Se4 0.000 0.964 0.886
Se5 0.250 0.173 0.122
Se6 0.250 0.827 0.622
Se7 0.500 0.036 0.386
Se8 0.500 0.549 0.733
Se9 0.500 0.680 0.342
Se10 0.500 0.877 0.979
Se11 0.750 0.173 0.122
Se12 0.750 0.827 0.622


This entry pairs a crystal structure of Pm5NdIr2 with its simulated powder XRD pattern. Radiation: λ = 1.5418 Å (Cu Kα). Structure: the PBE geometry in Alexandria.
Peak positions follow from Bragg's law for the DFT cell and can differ from measured ones.

Most intense lines, 5 to 70 degrees two-theta, by intensity:
2θ (°)	d/Å	I (rel.)
32.64	2.743	100.0
36.39	2.469	54.7
33.57	2.669	53.9
43.04	2.102	53.8
26.82	3.324	39.6
42.56	2.124	39.1

Cell and atoms:
abc: 9.069 9.069 9.069
angles: 152.91 132.01 55.97
Positions (direct):
Pm1 0.000 0.000 0.000
Pm2 0.091 0.340 0.751
Pm3 0.411 0.660 0.751
Pm4 0.589 0.340 0.249
Pm5 0.909 0.660 0.249
Nd1 0.500 0.000 0.500
Ir1 0.185 0.185 0.000
Ir2 0.815 0.815 0.000


This entry pairs a crystal structure of Tm3Mg2Zn2 with its simulated powder XRD pattern. Radiation: λ = 1.5418 Å (Cu Kα). Structure: the PBE geometry in Alexandria.
Peak positions follow from Bragg's law for the DFT cell and can differ from measured ones.

Most intense lines, 5 to 70 degrees two-theta, by intensity:
2θ (°)	d/Å	I (rel.)
6.20	14.262	100.0
36.92	2.434	40.4
36.36	2.471	31.6
33.85	2.648	26.9
38.39	2.344	16.5
67.74	1.383	12.2

Cell and atoms:
abc: 14.368 14.368 3.428
angles: 90.00 90.00 166.07
Positions (direct):
Tm1 0.000 0.000 0.000
Tm2 0.124 0.876 0.000
Tm3 0.876 0.124 0.000
Mg1 0.295 0.705 0.500
Mg2 0.705 0.295 0.500
Zn1 0.438 0.562 0.500
Zn2 0.562 0.438 0.500


This entry pairs a crystal structure of Y2Co7B3 with its simulated powder XRD pattern. Radiation: λ = 1.5418 Å (Cu Kα). Structure: the PBE geometry in Alexandria.
Peak positions follow from Bragg's law for the DFT cell and can differ from measured ones.

Most intense lines, 5 to 70 degrees two-theta, by intensity:
2θ (°)	d/Å	I (rel.)
41.46	2.178	100.0
45.96	1.975	75.2
34.87	2.573	73.3
63.60	1.463	24.1
50.76	1.799	13.0
35.70	2.515	12.0

Cell and atoms:
abc: 5.030 5.030 12.756
angles: 90.00 90.00 120.00
Positions (direct):
Y1 0.000 0.000 0.000
Y2 0.000 0.000 0.239
Y3 0.000 0.000 0.500
Y4 0.000 0.000 0.761
Co1 0.000 0.500 0.116
Co2 0.000 0.500 0.345
Co3 0.000 0.500 0.655
Co4 0.000 0.500 0.884
Co5 0.333 0.667 0.500
Co6 0.500 0.000 0.116
Co7 0.500 0.000 0.345
Co8 0.500 0.000 0.655
Co9 0.500 0.000 0.884
Co10 0.500 0.500 0.116
Co11 0.500 0.500 0.345
Co12 0.500 0.500 0.655
Co13 0.500 0.500 0.884
Co14 0.667 0.333 0.500
B1 0.333 0.667 0.000
B2 0.333 0.667 0.231
B3 0.333 0.667 0.769
B4 0.667 0.333 0.000
B5 0.667 0.333 0.231
B6 0.667 0.333 0.769